[1]
Computed X-ray diffraction stick pattern of SrAlSiN3 for Cu Kα, 1.54184 Å, from DFT lattice parameters and positions (GGA-PBE).
Peak positions follow from Bragg's law for the DFT cell and can differ from measured ones.

Peak list (10 most intense, 2θ = 5–70°, in order of rising 2θ)
d = 3.608 Å, 2θ 24.67, intensity 882, hkl 0 1 1
d = 2.902 Å, 2θ 30.81, intensity 443, hkl 1 0 1
d = 2.869 Å, 2θ 31.18, intensity 286, hkl 2 0 -1
d = 2.598 Å, 2θ 34.52, intensity 896, hkl 0 2 0
d = 2.534 Å, 2θ 35.43, intensity 848, hkl 1 1 1
d = 2.522 Å, 2θ 35.59, intensity 852, hkl 1 1 -2
d = 2.512 Å, 2θ 35.75, intensity 1000, hkl 2 1 -1
d = 2.484 Å, 2θ 36.16, intensity 417, hkl 2 0 -2
d = 2.303 Å, 2θ 39.12, intensity 352, hkl 1 2 -1
d = 1.397 Å, 2θ 66.99, intensity 451, hkl 3 2 -3

Atomic structure:
```
data_SrAlSiN3
_chemical_formula_sum 'Sr2 Al2 Si2 N6'
_cell_length_a 5.737
_cell_length_b 5.196
_cell_length_c 5.771
_cell_angle_alpha 90.00
_cell_angle_beta 119.43
_cell_angle_gamma 90.00
_symmetry_space_group_name_H-M 'P 1 21 1'
_symmetry_Int_Tables_number 4
loop_
_symmetry_equiv_pos_as_xyz
'x,y,z'
'-x,y+1/2,-z'
loop_
_atom_site_label
_atom_site_fract_x
_atom_site_fract_y
_atom_site_fract_z
_atom_site_occupancy
Sr1 0.185 0.000 0.190 1
Al1 0.475 0.019 0.827 1
Si1 0.170 0.514 0.527 1
N1 0.139 0.844 0.602 1
N2 0.280 0.499 0.297 1
N3 0.384 0.369 0.835 1
```

[2]
Computed X-ray diffraction stick pattern of SrAlTcN2 for Cu Kα, 1.54184 Å, from DFT lattice parameters and positions (GGA-PBE).
Peak positions follow from Bragg's law for the DFT cell and can differ from measured ones.

Peak list (10 most intense, 2θ = 5–70°, in order of rising 2θ)
d = 4.803 Å, 2θ 18.47, intensity 658, hkl 0 0 1
d = 2.879 Å, 2θ 31.07, intensity 763, hkl 1 1 0
d = 2.469 Å, 2θ 36.39, intensity 1000, hkl 1 1 1
d = 2.401 Å, 2θ 37.45, intensity 380, hkl 0 0 2
d = 2.036 Å, 2θ 44.51, intensity 455, hkl 2 0 0
d = 1.874 Å, 2θ 48.58, intensity 233, hkl 2 0 1
d = 1.844 Å, 2θ 49.42, intensity 427, hkl 1 1 2
d = 1.553 Å, 2θ 59.53, intensity 367, hkl 2 0 2
d = 1.439 Å, 2θ 64.77, intensity 141, hkl 2 2 0
d = 1.399 Å, 2θ 66.87, intensity 151, hkl 1 1 3

Atomic structure:
```
data_SrAlTcN2
_chemical_formula_sum 'Sr1 Al1 Tc1 N2'
_cell_length_a 4.071
_cell_length_b 4.071
_cell_length_c 4.803
_cell_angle_alpha 90.00
_cell_angle_beta 90.00
_cell_angle_gamma 90.00
_symmetry_space_group_name_H-M 'P 4/m m m'
_symmetry_Int_Tables_number 123
_symmetry_space_group_name_Hall '-P 4 2'
loop_
_atom_site_label
_atom_site_fract_x
_atom_site_fract_y
_atom_site_fract_z
_atom_site_occupancy
Sr1 0.000 0.000 0.000 1
Al1 0.500 0.500 0.500 1
Tc1 0.500 0.500 0.000 1
N1 0.000 0.500 0.500 1
```